For Nd4Sm7Cd, a cell relaxed with PBE gives the theoretical X-ray powder pattern in this record (λ = 1.5418 Å (Cu Kα)).
Intensities are scaled so that the largest is 1000.

Top 10 peaks for 15° ≤ 2θ ≤ 90°, low angle first:
d/Å	2θ (°)	Rel. int.
2.973	30.1	1000
2.908	30.7	255
2.560	35.0	616
1.826	50.0	249
1.795	50.9	155
1.556	59.4	144
1.546	59.8	230
1.487	62.5	115
1.184	81.2	118
1.153	83.9	101

Atomic structure:
a b c (Å): 3.652 3.652 34.894
angles (deg): 90.00 90.00 120.00
Element x y z (fractional)
Nd 0.333 0.667 0.158
Nd 0.333 0.667 0.414
Nd 0.667 0.333 0.586
Nd 0.667 0.333 0.842
Sm 0.000 0.000 0.244
Sm 0.000 0.000 0.500
Sm 0.000 0.000 0.756
Sm 0.333 0.667 0.671
Sm 0.333 0.667 0.927
Sm 0.667 0.333 0.073
Sm 0.667 0.333 0.329
Cd 0.000 0.000 0.000

***

For Nd6Sm2Cd, a cell relaxed with PBE gives the theoretical X-ray powder pattern in this record (λ = 1.5418 Å (Cu Kα)).
Intensities are scaled so that the largest is 1000.

Top 10 peaks for 15° ≤ 2θ ≤ 90°, low angle first:
d/Å	2θ (°)	Rel. int.
2.944	30.4	1000
2.589	34.7	172
2.562	35.0	176
2.501	35.9	154
1.821	50.1	121
1.790	51.0	113
1.555	59.5	133
1.543	60.0	145
1.517	61.1	70
1.472	63.2	113

Atomic structure:
a b c (Å): 6.292 6.292 10.805
angles (deg): 108.41 108.41 48.05
Element x y z (fractional)
Nd 0.009 0.009 0.178
Nd 0.313 0.313 0.608
Nd 0.333 0.333 0.947
Nd 0.667 0.667 0.053
Nd 0.687 0.687 0.392
Nd 0.991 0.991 0.822
Sm 0.344 0.344 0.284
Sm 0.656 0.656 0.716
Cd 0.000 0.000 0.500

***

For NdSmCd4, a cell relaxed with PBE gives the theoretical X-ray powder pattern in this record (λ = 1.5418 Å (Cu Kα)).
Intensities are scaled so that the largest is 1000.

Top 10 peaks for 15° ≤ 2θ ≤ 90°, low angle first:
d/Å	2θ (°)	Rel. int.
2.728	32.8	1000
2.527	35.5	836
1.854	49.1	317
1.744	52.5	89
1.496	62.1	155
1.494	62.1	155
1.459	63.8	146
1.435	65.0	276
1.264	75.2	90
1.119	87.1	84

Atomic structure:
a b c (Å): 3.488 8.749 5.058
angles (deg): 90.00 90.08 90.00
Element x y z (fractional)
Nd 0.000 0.000 0.000
Sm 0.000 0.500 0.500
Cd 0.500 0.168 0.500
Cd 0.500 0.335 0.000
Cd 0.500 0.665 0.000
Cd 0.500 0.832 0.500

***

For Nd6SmCd3, a cell relaxed with PBE gives the theoretical X-ray powder pattern in this record (λ = 1.5418 Å (Cu Kα)).
Intensities are scaled so that the largest is 1000.

Top 10 peaks for 15° ≤ 2θ ≤ 90°, low angle first:
d/Å	2θ (°)	Rel. int.
3.249	27.5	506
3.191	28.0	240
2.897	30.9	199
2.834	31.6	203
2.801	32.0	1000
2.766	32.4	307
2.725	32.9	250
2.715	33.0	259
2.395	37.6	355
1.619	56.9	162

Atomic structure:
a b c (Å): 9.609 9.609 6.907
angles (deg): 90.00 90.00 94.90
Element x y z (fractional)
Nd 0.011 0.438 0.136
Nd 0.076 0.924 0.500
Nd 0.259 0.310 0.809
Nd 0.299 0.701 0.813
Nd 0.310 0.259 0.309
Nd 0.438 0.011 0.636
Nd 0.562 0.989 0.136
Nd 0.690 0.741 0.809
Nd 0.701 0.299 0.313
Nd 0.741 0.690 0.309
Nd 0.924 0.076 0.000
Nd 0.989 0.562 0.636
Sm 0.306 0.694 0.299
Sm 0.694 0.306 0.799
Cd 0.010 0.764 0.033
Cd 0.236 0.990 0.033
Cd 0.498 0.502 0.559
Cd 0.502 0.498 0.059
Cd 0.764 0.010 0.533
Cd 0.990 0.236 0.533

***

For Nd3Sm8Cd, a cell relaxed with PBE gives the theoretical X-ray powder pattern in this record (λ = 1.5418 Å (Cu Kα)).
Intensities are scaled so that the largest is 1000.

Top 10 peaks for 15° ≤ 2θ ≤ 90°, low angle first:
d/Å	2θ (°)	Rel. int.
3.690	24.1	722
3.466	25.7	639
3.082	29.0	816
2.859	31.3	769
2.726	32.9	324
2.713	33.0	283
2.483	36.2	1000
2.096	43.2	547
2.037	44.5	523
1.357	69.3	310

Atomic structure:
a b c (Å): 8.408 8.408 8.408
angles (deg): 117.54 117.54 94.31
Element x y z (fractional)
Nd 0.000 0.000 0.000
Nd 0.250 0.750 0.500
Nd 0.750 0.250 0.500
Sm 0.124 0.124 0.748
Sm 0.247 0.247 0.504
Sm 0.257 0.753 0.000
Sm 0.376 0.376 0.252
Sm 0.624 0.876 0.000
Sm 0.743 0.743 0.496
Sm 0.753 0.257 0.000
Sm 0.876 0.624 0.000
Cd 0.500 0.500 0.000

***

For TbNd4Sm2Cd, a cell relaxed with PBE gives the theoretical X-ray powder pattern in this record (λ = 1.5418 Å (Cu Kα)).
Intensities are scaled so that the largest is 1000.

Top 10 peaks for 15° ≤ 2θ ≤ 90°, low angle first:
d/Å	2θ (°)	Rel. int.
2.921	30.6	1000
2.560	35.1	173
2.515	35.7	332
1.794	50.9	239
1.778	51.4	117
1.538	60.1	143
1.520	60.9	140
1.517	61.1	139
1.460	63.7	121
1.164	82.9	58

Atomic structure:
a b c (Å): 5.023 5.036 10.238
angles (deg): 90.00 90.00 90.00
Element x y z (fractional)
Tb 0.000 0.000 0.000
Nd 0.000 0.500 0.256
Nd 0.000 0.500 0.744
Nd 0.500 0.000 0.255
Nd 0.500 0.000 0.745
Sm 0.000 0.000 0.500
Sm 0.500 0.500 0.000
Cd 0.500 0.500 0.500

***

For Nd2CdSn4, a cell relaxed with PBE gives the theoretical X-ray powder pattern in this record (λ = 1.5418 Å (Cu Kα)).
Intensities are scaled so that the largest is 1000.

Top 10 peaks for 15° ≤ 2θ ≤ 90°, low angle first:
d/Å	2θ (°)	Rel. int.
3.223	27.7	133
3.055	29.2	113
2.680	33.4	1000
2.418	37.2	122
2.277	39.6	387
1.860	49.0	86
1.658	55.4	235
1.610	57.2	131
1.441	64.7	96
1.380	67.9	271

Atomic structure:
a b c (Å): 4.554 4.554 9.671
angles (deg): 90.00 90.00 90.00
Element x y z (fractional)
Nd 0.000 0.500 0.238
Nd 0.500 0.000 0.762
Cd 0.500 0.500 0.000
Sn 0.000 0.000 0.500
Sn 0.000 0.500 0.807
Sn 0.500 0.000 0.193
Sn 0.500 0.500 0.500

***

For NdCd11Sn, a cell relaxed with PBE gives the theoretical X-ray powder pattern in this record (λ = 1.5418 Å (Cu Kα)).
Intensities are scaled so that the largest is 1000.

Top 10 peaks for 15° ≤ 2θ ≤ 90°, low angle first:
d/Å	2θ (°)	Rel. int.
2.932	30.5	411
2.919	30.6	385
2.679	33.4	847
2.667	33.6	689
2.536	35.4	881
2.506	35.8	436
2.493	36.0	381
2.472	36.3	1000
2.361	38.1	618
2.228	40.5	419

Atomic structure:
a b c (Å): 7.740 7.740 7.599
angles (deg): 99.73 99.73 131.52
Element x y z (fractional)
Nd 0.000 0.000 0.000
Cd 0.000 0.500 0.000
Cd 0.006 0.359 0.350
Cd 0.300 0.516 0.789
Cd 0.359 0.006 0.350
Cd 0.484 0.700 0.211
Cd 0.500 0.000 0.000
Cd 0.500 0.500 0.500
Cd 0.516 0.300 0.789
Cd 0.641 0.994 0.650
Cd 0.700 0.484 0.211
Cd 0.994 0.641 0.650
Sn 0.000 0.000 0.500

***

For Nd2CdSn9, a cell relaxed with PBE gives the theoretical X-ray powder pattern in this record (λ = 1.5418 Å (Cu Kα)).
Intensities are scaled so that the largest is 1000.

Top 10 peaks for 15° ≤ 2θ ≤ 90°, low angle first:
d/Å	2θ (°)	Rel. int.
2.753	32.5	1000
2.474	36.3	183
2.342	38.4	322
1.701	53.9	239
1.656	55.5	113
1.476	63.0	147
1.419	65.8	272
1.376	68.1	121
1.102	88.8	125
1.094	89.6	59

Atomic structure:
a b c (Å): 4.685 4.685 14.843
angles (deg): 90.00 90.00 90.00
Element x y z (fractional)
Nd 0.000 0.000 0.159
Nd 0.000 0.000 0.841
Cd 0.000 0.000 0.500
Sn 0.000 0.500 0.000
Sn 0.000 0.500 0.336
Sn 0.000 0.500 0.664
Sn 0.500 0.000 0.000
Sn 0.500 0.000 0.336
Sn 0.500 0.000 0.664
Sn 0.500 0.500 0.172
Sn 0.500 0.500 0.500
Sn 0.500 0.500 0.828

***

For Nd4CdSn, a cell relaxed with PBE gives the theoretical X-ray powder pattern in this record (λ = 1.5418 Å (Cu Kα)).
Intensities are scaled so that the largest is 1000.

Top 10 peaks for 15° ≤ 2θ ≤ 90°, low angle first:
d/Å	2θ (°)	Rel. int.
3.178	28.1	340
2.843	31.5	350
2.827	31.6	607
2.752	32.5	1000
2.667	33.6	744
2.401	37.5	280
2.112	42.8	216
2.005	45.2	258
1.617	56.9	195
1.421	65.7	280

Atomic structure:
a b c (Å): 11.383 11.383 6.638
angles (deg): 90.00 90.00 151.24
Element x y z (fractional)
Nd 0.065 0.935 0.750
Nd 0.210 0.790 0.507
Nd 0.210 0.790 0.993
Nd 0.372 0.628 0.750
Nd 0.628 0.372 0.250
Nd 0.790 0.210 0.007
Nd 0.790 0.210 0.493
Nd 0.935 0.065 0.250
Cd 0.076 0.924 0.250
Cd 0.924 0.076 0.750
Sn 0.345 0.655 0.250
Sn 0.655 0.345 0.750

***

For Nd2Cd3Sn3, a cell relaxed with PBE gives the theoretical X-ray powder pattern in this record (λ = 1.5418 Å (Cu Kα)).
Intensities are scaled so that the largest is 1000.

Top 10 peaks for 15° ≤ 2θ ≤ 90°, low angle first:
d/Å	2θ (°)	Rel. int.
2.706	33.1	1000
2.420	37.1	184
2.347	38.3	168
2.270	39.7	150
1.685	54.5	121
1.656	55.5	113
1.446	64.4	145
1.415	66.0	135
1.380	67.9	120
1.353	69.5	115

Atomic structure:
a b c (Å): 4.694 4.840 9.080
angles (deg): 90.00 90.00 90.00
Element x y z (fractional)
Nd 0.000 0.000 0.245
Nd 0.000 0.000 0.755
Cd 0.000 0.500 0.500
Cd 0.500 0.500 0.259
Cd 0.500 0.500 0.741
Sn 0.000 0.500 0.000
Sn 0.500 0.000 0.000
Sn 0.500 0.000 0.500

***

For TbNd2Cd2Sn2, a cell relaxed with PBE gives the theoretical X-ray powder pattern in this record (λ = 1.5418 Å (Cu Kα)).
Intensities are scaled so that the largest is 1000.

Top 10 peaks for 15° ≤ 2θ ≤ 90°, low angle first:
d/Å	2θ (°)	Rel. int.
2.885	31.0	1000
2.667	33.6	342
2.500	35.9	975
1.889	48.2	294
1.507	61.5	282
1.464	63.6	254
1.443	64.6	204
1.250	76.2	145
1.147	84.5	121
1.127	86.3	114

Atomic structure:
a b c (Å): 9.481 9.481 9.481
angles (deg): 30.57 30.57 30.57
Element x y z (fractional)
Tb 0.000 0.000 0.000
Nd 0.131 0.131 0.131
Nd 0.869 0.869 0.869
Cd 0.412 0.412 0.412
Cd 0.588 0.588 0.588
Sn 0.270 0.270 0.270
Sn 0.730 0.730 0.730

***

For Sr2NdCd4, a cell relaxed with PBE gives the theoretical X-ray powder pattern in this record (λ = 1.5418 Å (Cu Kα)).
Intensities are scaled so that the largest is 1000.

Top 10 peaks for 15° ≤ 2θ ≤ 90°, low angle first:
d/Å	2θ (°)	Rel. int.
5.287	16.8	167
3.665	24.3	161
2.842	31.5	674
2.680	33.4	1000
2.246	40.1	85
2.010	45.1	245
1.608	57.3	411
1.520	61.0	108
1.271	74.7	106
1.256	75.8	89

Atomic structure:
a b c (Å): 8.239 8.239 8.239
angles (deg): 139.64 139.64 58.40
Element x y z (fractional)
Sr 0.235 0.235 0.000
Sr 0.765 0.765 0.000
Nd 0.500 0.500 0.000
Cd 0.108 0.608 0.500
Cd 0.392 0.892 0.500
Cd 0.608 0.108 0.500
Cd 0.892 0.392 0.500

***

For SrNdTlCd, a cell relaxed with PBE gives the theoretical X-ray powder pattern in this record (λ = 1.5418 Å (Cu Kα)).
Intensities are scaled so that the largest is 1000.

Top 10 peaks for 15° ≤ 2θ ≤ 90°, low angle first:
d/Å	2θ (°)	Rel. int.
2.827	31.7	1000
2.783	32.2	494
2.031	44.6	88
1.968	46.1	181
1.641	56.1	179
1.615	57.0	373
1.413	66.1	109
1.280	74.0	67
1.248	76.3	79
1.245	76.5	81

Atomic structure:
a b c (Å): 3.936 3.936 8.124
angles (deg): 90.00 90.00 90.00
Element x y z (fractional)
Sr 0.000 0.000 0.000
Nd 0.000 0.000 0.508
Tl 0.500 0.500 0.271
Cd 0.500 0.500 0.734